No. 1
Diffraction record for TlS2F. The powder diffraction line list is calculated, not measured: it uses a GGA-PBE-relaxed structure and Cu Kα X-rays.
Neutral-atom scattering factors, no anomalous dispersion.

Main lines, low angle first (10 to 80 degrees two-theta):
d 3.690, rel. 71; d 3.601, rel. 87; d 3.280, rel. 75; d 3.246, rel. 50; d 2.923, rel. 55; d 2.689, rel. 100

Structure:
```
TlS2F
1.0
3.971 0.000 0.000
0.000 3.684 0.000
-1.760 0.000 14.404
Tl S F
2 4 2
Cartesian
0.106 0.000 5.644 Tl
2.105 1.842 8.760 Tl
0.623 1.905 2.177 S
1.542 3.546 1.593 S
0.669 1.704 12.810 S
1.588 0.063 12.226 S
0.109 3.681 8.117 F
2.103 1.839 6.287 F
```



No. 2
Diffraction record for Al2PBr. The powder diffraction line list is calculated, not measured: it uses a GGA-PBE-relaxed structure and Cu Kα X-rays.
Neutral-atom scattering factors, no anomalous dispersion.

Main lines, low angle first (10 to 80 degrees two-theta):
d 5.449, rel. 27; d 3.051, rel. 22; d 2.831, rel. 38; d 2.724, rel. 25; d 2.346, rel. 100; d 2.259, rel. 26

Structure:
```
Al2PBr
1.0
-1.589 2.259 5.449
1.589 -2.259 5.449
1.589 2.259 -5.449
Al P Br
2 1 1
Cartesian
0.000 0.000 0.000 Al
0.000 2.259 2.878 Al
0.000 0.000 6.384 P
1.589 0.000 3.362 Br
```



No. 3
Diffraction record for La2Nd7Er4. The powder diffraction line list is calculated, not measured: it uses a GGA-PBE-relaxed structure and Cu Kα X-rays.
Neutral-atom scattering factors, no anomalous dispersion.

Main lines, low angle first (10 to 80 degrees two-theta):
d 3.310, rel. 19; d 3.122, rel. 16; d 3.038, rel. 36; d 2.823, rel. 100; d 2.549, rel. 24; d 1.802, rel. 38

Structure:
```
La2Nd7Er4
1.0
6.243 0.000 0.000
-3.122 5.407 0.000
0.000 0.000 13.241
La Nd Er
2 7 4
Cartesian
0.000 3.604 0.000 La
3.122 1.802 0.000 La
0.000 0.000 0.000 Nd
-1.159 2.008 2.998 Nd
-1.962 3.398 10.243 Nd
2.319 0.000 2.998 Nd
1.159 2.008 10.243 Nd
3.924 0.000 10.243 Nd
1.962 3.398 2.998 Nd
0.000 0.000 5.207 Er
0.000 0.000 8.034 Er
0.000 3.604 6.620 Er
3.122 1.802 6.620 Er
```



No. 4
Diffraction record for Th2TcNi. The powder diffraction line list is calculated, not measured: it uses a GGA-PBE-relaxed structure and Cu Kα X-rays.
Neutral-atom scattering factors, no anomalous dispersion.

Main lines, low angle first (10 to 80 degrees two-theta):
d 3.307, rel. 57; d 2.840, rel. 62; d 2.725, rel. 100; d 2.714, rel. 73; d 2.262, rel. 39; d 2.242, rel. 39

Structure:
```
Th2TcNi
1.0
5.977 0.000 0.000
0.000 4.067 0.000
-2.403 0.000 7.347
Th Tc Ni
4 2 2
Cartesian
0.322 1.017 3.151 Th
-0.888 1.017 6.863 Th
4.461 3.050 0.484 Th
3.252 3.050 4.195 Th
1.445 3.050 1.555 Tc
2.129 1.017 5.792 Tc
0.247 3.050 5.160 Ni
3.327 1.017 2.187 Ni
```



No. 5
Diffraction record for LiLa. The powder diffraction line list is calculated, not measured: it uses a GGA-PBE-relaxed structure and Cu Kα X-rays.
Neutral-atom scattering factors, no anomalous dispersion.

Main lines, low angle first (10 to 80 degrees two-theta):
d 3.743, rel. 34; d 3.084, rel. 24; d 2.974, rel. 82; d 2.703, rel. 100; d 2.380, rel. 32; d 1.815, rel. 25

Structure:
```
LiLa
1.0
3.561 0.000 0.000
-1.780 3.084 0.000
0.000 0.000 11.230
Li La
2 2
Cartesian
0.000 2.056 1.174 Li
1.780 1.028 10.056 Li
0.000 2.056 7.146 La
1.780 1.028 4.085 La
```



No. 6
Diffraction record for Nd2Ga4HgPt3. The powder diffraction line list is calculated, not measured: it uses a GGA-PBE-relaxed structure and Cu Kα X-rays.
Neutral-atom scattering factors, no anomalous dispersion.

Main lines, low angle first (10 to 80 degrees two-theta):
d 2.962, rel. 35; d 2.746, rel. 54; d 2.666, rel. 100; d 2.181, rel. 70; d 2.010, rel. 36; d 1.708, rel. 26

Structure:
```
Nd2Ga4HgPt3
1.0
4.362 0.000 0.000
0.000 4.362 0.000
0.000 0.000 10.599
Nd Ga Hg Pt
2 4 1 3
Cartesian
0.000 2.181 2.514 Nd
2.181 0.000 8.085 Nd
0.000 0.000 0.000 Ga
0.000 2.181 6.804 Ga
2.181 0.000 3.795 Ga
2.181 2.181 0.000 Ga
0.000 0.000 5.300 Hg
0.000 2.181 9.257 Pt
2.181 0.000 1.342 Pt
2.181 2.181 5.300 Pt
```



No. 7
Diffraction record for Sm3Zn7Pt4. The powder diffraction line list is calculated, not measured: it uses a GGA-PBE-relaxed structure and Cu Kα X-rays.
Neutral-atom scattering factors, no anomalous dispersion.

Main lines, low angle first (10 to 80 degrees two-theta):
d 2.702, rel. 36; d 2.596, rel. 67; d 2.533, rel. 77; d 2.521, rel. 100; d 2.217, rel. 39; d 2.189, rel. 81

Structure:
```
Sm3Zn7Pt4
1.0
7.772 -2.189 0.000
7.772 2.189 0.000
-5.244 0.000 7.709
Sm Zn Pt
3 7 4
Cartesian
0.000 0.000 0.000 Sm
3.108 0.000 2.242 Sm
7.193 0.000 5.467 Sm
-2.622 0.000 3.855 Zn
0.028 0.000 3.253 Zn
-0.063 0.000 7.571 Zn
4.086 0.000 5.351 Zn
6.215 0.000 2.358 Zn
10.363 0.000 0.138 Zn
10.273 0.000 4.456 Zn
-2.534 0.000 6.420 Pt
1.519 0.000 5.518 Pt
8.782 0.000 2.191 Pt
12.834 0.000 1.289 Pt
```



No. 8
Diffraction record for Sr2CdCuO5. The powder diffraction line list is calculated, not measured: it uses a GGA-PBE-relaxed structure and Cu Kα X-rays.
Neutral-atom scattering factors, no anomalous dispersion.

Main lines, low angle first (10 to 80 degrees two-theta):
d 3.192, rel. 27; d 3.139, rel. 47; d 2.892, rel. 24; d 2.784, rel. 46; d 2.473, rel. 100; d 1.669, rel. 23

Structure:
```
Sr2CdCuO5
1.0
1.781 -6.690 0.000
1.781 6.690 0.000
0.000 0.000 10.664
Sr Cd Cu O
4 2 2 10
Cartesian
1.781 5.377 5.332 Sr
1.781 4.637 1.454 Sr
1.781 -4.637 6.786 Sr
1.781 -5.377 0.000 Sr
1.781 4.010 8.974 Cd
1.781 -4.010 3.643 Cd
1.781 0.231 2.772 Cu
1.781 -0.231 8.104 Cu
1.781 6.303 8.684 O
1.781 2.920 5.112 O
1.781 2.066 2.116 O
1.781 1.636 8.694 O
1.781 0.332 6.172 O
1.781 -0.332 0.840 O
1.781 -1.636 3.362 O
1.781 -2.066 7.448 O
1.781 -2.920 10.444 O
1.781 -6.303 3.352 O
```